TbCo5P3: simulated PXRD pattern (Cu Kα (weighted mean of Kα1 and Kα2)), based on a GGA-PBE-relaxed structure.

Crystal structure
```
data_TbCo5P3
_chemical_formula_sum 'Tb4 Co20 P12'
_symmetry_space_group_name_H-M 'P n m a'
_symmetry_Int_Tables_number 62
_cell_length_a 11.7306
_cell_length_b 3.6538
_cell_length_c 10.2762
_cell_angle_alpha 90.00
_cell_angle_beta 90.00
_cell_angle_gamma 90.00
loop_
_symmetry_equiv_pos_as_xyz
'x,y,z'
'-x,-y,-z'
'-x+1/2,-y,z+1/2'
'x+1/2,y,-z+1/2'
'x+1/2,-y+1/2,-z+1/2'
'-x+1/2,y+1/2,z+1/2'
'-x,y+1/2,-z'
'x,-y+1/2,z'
loop_
_atom_site_label
_atom_site_type_symbol
_atom_site_fract_x
_atom_site_fract_y
_atom_site_fract_z
_atom_site_occupancy
Tb1 Tb 0.2032 0.2500 0.0832 1
Co1 Co 0.0105 0.7500 0.7153 1
Co2 Co 0.0120 0.7500 0.0937 1
Co3 Co 0.0676 0.7500 0.4670 1
Co4 Co 0.1759 0.2500 0.7793 1
Co5 Co 0.1977 0.2500 0.3824 1
P1 P 0.1086 0.7500 0.8979 1
P2 P 0.1119 0.2500 0.5814 1
P3 P 0.1303 0.7500 0.2712 1
```

Most intense lines, 10 to 80 degrees two-theta, low angle first:
2θ (°)  d [Å]  I/Imax
26.99  3.303  19
30.21  2.958  12
35.78  2.510  14
37.98  2.369  19
39.18  2.299  100
39.40  2.287  69
40.46  2.230  26
49.92  1.827  37
54.00  1.698  22
76.60  1.244  18